YLu2Fe8Co: computed powder XRD pattern (Cu Kα, 1.54184 Å), based on a PBE-relaxed structure.

Largest 6 diffraction maxima, by angle, 2θ = 10–90°:
- d = 8.011 Å, 11.0 deg, intensity 28
- d = 2.697 Å, 33.2 deg, intensity 49
- d = 2.517 Å, 35.7 deg, intensity 57
- d = 2.474 Å, 36.3 deg, intensity 31
- d = 2.171 Å, 41.6 deg, intensity 36
- d = 2.131 Å, 42.4 deg, intensity 100

Cell and atoms:
```
YLu2Fe8Co
1.0
2.517 1.453 8.011
-2.517 1.453 8.011
0.000 -2.906 8.011
Y Lu Fe Co
1 2 8 1
direct
0.000 0.000 0.000 Y
0.142 0.142 0.142 Lu
0.858 0.858 0.858 Lu
0.082 0.583 0.583 Fe
0.333 0.333 0.333 Fe
0.417 0.417 0.918 Fe
0.417 0.918 0.417 Fe
0.583 0.082 0.583 Fe
0.583 0.583 0.082 Fe
0.667 0.667 0.667 Fe
0.918 0.417 0.417 Fe
0.500 0.500 0.500 Co
```